Record 1
This entry pairs a crystal structure of Nd2Y2Hg with its computed XRD peak list. Radiation: Cu Kα (weighted mean of Kα1 and Kα2). Structure: a crystal structure in Alexandria, relaxed with PBE.

Main lines, by angle (2θ from 10° to 80°):
- (0 2 2), d = 4.389 Å, rel. 20.9
- (1 3 1), d = 3.065 Å, rel. 20.2
- (1 1 5), d = 2.928 Å, rel. 26.1
- (2 2 2), d = 2.834 Å, rel. 100.0
- (2 0 4), d = 2.777 Å, rel. 36.3
- (0 4 0), d = 2.577 Å, rel. 25.1
- (0 2 6), d = 2.455 Å, rel. 33.4
- (2 4 4), d = 1.889 Å, rel. 23.3

Atomic structure:
Unit cell a=7.422 b=10.308 c=16.752 alpha=90.00 beta=90.00 gamma=90.00
Space group Fmmm (No. 69)
Inequivalent atoms, fractional coordinates:
Nd  0.000  0.000  0.203 x8
Nd  0.207  0.000  0.000 x8
Y  0.000  0.202  0.397 x16
Hg  0.250  0.250  0.250 x8

***

Record 2
This entry pairs a crystal structure of Ti3O4F with its computed XRD peak list. Radiation: Cu Kα (weighted mean of Kα1 and Kα2). Structure: a crystal structure in Alexandria, relaxed with PBE.

Main lines, by angle (2θ from 10° to 80°):
- (2 0 0), d = 4.810 Å, rel. 100.0
- (2 0 -2), d = 3.424 Å, rel. 78.8
- (1 1 -2), d = 2.968 Å, rel. 75.8
- (3 1 0), d = 2.719 Å, rel. 69.3
- (1 1 2), d = 2.509 Å, rel. 65.1
- (5 1 0), d = 1.801 Å, rel. 71.9
- (4 2 -2), d = 1.763 Å, rel. 65.1
- (3 1 -4), d = 1.693 Å, rel. 75.9

Atomic structure:
Unit cell a=10.349 b=5.131 c=7.278 alpha=90.00 beta=111.64 gamma=90.00
Space group Cc (No. 9)
Inequivalent atoms, fractional coordinates:
Ti  0.000  0.018  0.000 x4
Ti  0.274  0.469  0.088 x4
Ti  0.403  0.025  0.312 x4
O  0.088  0.347  0.956 x4
O  0.300  0.335  0.363 x4
O  0.390  0.179  0.050 x4
O  0.467  0.343  0.744 x4
F  0.198  0.156  0.647 x4

***

Record 3
This entry pairs a crystal structure of K2YNb5O15 with its computed XRD peak list. Radiation: Cu Kα (weighted mean of Kα1 and Kα2). Structure: a crystal structure in Alexandria, relaxed with PBE.

Main lines, by angle (2θ from 10° to 80°):
- (0 0 1), d = 3.975 Å, rel. 63.0
- (3 1 0), d = 3.404 Å, rel. 49.3
- (2 0 1), d = 3.165 Å, rel. 54.1
- (2 4 0), d = 3.112 Å, rel. 100.0
- (1 3 1), d = 3.016 Å, rel. 85.2
- (3 1 1), d = 2.585 Å, rel. 52.5
- (0 0 2), d = 1.987 Å, rel. 44.8
- (6 0 0), d = 1.744 Å, rel. 60.5

Atomic structure:
Unit cell a=10.467 b=15.484 c=3.975 alpha=90.00 beta=90.00 gamma=90.00
Space group Cmmm (No. 65)
Inequivalent atoms, fractional coordinates:
K  0.000  0.200  0.000 x4
Y  0.000  0.500  0.000 x2
Nb  0.000  0.000  0.500 x2
Nb  0.188  0.370  0.500 x8
O  0.000  0.000  0.000 x2
O  0.000  0.337  0.500 x4
O  0.127  0.500  0.500 x4
O  0.135  0.092  0.500 x8
O  0.163  0.384  0.000 x8
O  0.250  0.250  0.500 x4

***

Record 4
This entry pairs a crystal structure of CaAgPd with its computed XRD peak list. Radiation: Cu Kα (weighted mean of Kα1 and Kα2). Structure: a crystal structure in Alexandria, relaxed with PBE.

Main lines, by angle (2θ from 10° to 80°):
- (0 1 1), d = 4.613 Å, rel. 60.9
- (1 0 1), d = 4.532 Å, rel. 55.3
- (1 2 1), d = 2.411 Å, rel. 65.0
- (2 1 1), d = 2.378 Å, rel. 100.0
- (1 0 3), d = 2.370 Å, rel. 32.0
- (0 2 2), d = 2.307 Å, rel. 74.9
- (2 0 2), d = 2.266 Å, rel. 68.8
- (2 2 4), d = 1.398 Å, rel. 39.5

Atomic structure:
Unit cell a=5.544 b=5.696 c=7.866 alpha=90.00 beta=90.00 gamma=90.00
Space group Imma (No. 74)
Inequivalent atoms, fractional coordinates:
Ca  0.000  0.250  0.128 x4
Ag  0.250  0.250  0.750 x4
Pd  0.000  0.000  0.500 x4

***

Record 5
This entry pairs a crystal structure of Dy4Y5Mg2 with its computed XRD peak list. Radiation: Cu Kα (weighted mean of Kα1 and Kα2). Structure: a crystal structure in Alexandria, relaxed with PBE.

Main lines, by angle (2θ from 10° to 80°):
- (0 4 1), d = 2.955 Å, rel. 69.1
- (3 2 0), d = 2.873 Å, rel. 61.3
- (1 7 0), d = 2.861 Å, rel. 41.9
- (1 4 1), d = 2.806 Å, rel. 100.0
- (2 6 0), d = 2.767 Å, rel. 68.9
- (2 2 1), d = 2.696 Å, rel. 56.6
- (0 0 2), d = 1.782 Å, rel. 46.7
- (3 2 2), d = 1.514 Å, rel. 29.6

Atomic structure:
Unit cell a=8.956 b=21.137 c=3.564 alpha=90.00 beta=90.00 gamma=90.00
Space group Pbam (No. 55)
Inequivalent atoms, fractional coordinates:
Dy  0.071  0.148  0.000 x4
Dy  0.217  0.424  0.000 x4
Y  0.000  0.000  0.500 x2
Y  0.128  0.565  0.500 x4
Y  0.243  0.782  0.500 x4
Mg  0.039  0.690  0.000 x4

***

Record 6
This entry pairs a crystal structure of Mg12Tl3Bi with its computed XRD peak list. Radiation: Cu Kα (weighted mean of Kα1 and Kα2). Structure: a crystal structure in Alexandria, relaxed with PBE.

Main lines, by angle (2θ from 10° to 80°):
- (0 0 4), d = 4.645 Å, rel. 40.5
- (1 0 0), d = 4.502 Å, rel. 75.5
- (1 0 4), d = 3.233 Å, rel. 68.0
- (1 1 0), d = 3.183 Å, rel. 32.8
- (1 1 4), d = 2.626 Å, rel. 100.0
- (2 0 0), d = 2.251 Å, rel. 32.5
- (2 1 4), d = 1.847 Å, rel. 28.9
- (3 1 4), d = 1.361 Å, rel. 26.0

Atomic structure:
Unit cell a=4.502 b=4.502 c=18.582 alpha=90.00 beta=90.00 gamma=90.00
Space group P4/mmm (No. 123)
Inequivalent atoms, fractional coordinates:
Mg  0.000  0.000  0.000 x1
Mg  0.000  0.000  0.247 x2
Mg  0.000  0.000  0.500 x1
Mg  0.000  0.500  0.124 x4
Mg  0.000  0.500  0.370 x4
Tl  0.500  0.500  0.000 x1
Tl  0.500  0.500  0.247 x2
Bi  0.500  0.500  0.500 x1

***

Record 7
This entry pairs a crystal structure of TlGaSiF6 with its computed XRD peak list. Radiation: Cu Kα (weighted mean of Kα1 and Kα2). Structure: a crystal structure in Alexandria, relaxed with PBE.

Main lines, by angle (2θ from 10° to 80°):
- (0 1 1), d = 4.967 Å, rel. 27.6
- (1 0 1), d = 3.600 Å, rel. 100.0
- (-1 1 1), d = 3.588 Å, rel. 49.2
- (0 1 2), d = 2.880 Å, rel. 34.2
- (2 1 1), d = 2.306 Å, rel. 20.9
- (1 0 -2), d = 2.253 Å, rel. 22.6
- (1 -2 0), d = 2.241 Å, rel. 44.0
- (2 1 -1), d = 1.930 Å, rel. 23.4

Atomic structure:
Unit cell a=5.201 b=5.724 c=5.759 alpha=60.21 beta=89.94 gamma=89.85
Space group P1 (No. 1)
Inequivalent atoms, fractional coordinates:
Tl  0.000  0.000  0.000 x1
Ga  0.526  0.333  0.334 x1
Si  0.393  0.668  0.664 x1
F  0.199  0.953  0.525 x1
F  0.200  0.523  0.525 x1
F  0.205  0.525  0.950 x1
F  0.574  0.811  0.377 x1
F  0.581  0.813  0.802 x1
F  0.582  0.385  0.801 x1

***

Record 8
This entry pairs a crystal structure of Tb4PmCo4 with its computed XRD peak list. Radiation: Cu Kα (weighted mean of Kα1 and Kα2). Structure: a crystal structure in Alexandria, relaxed with PBE.

Main lines, by angle (2θ from 10° to 80°):
- (2 1 1), d = 3.140 Å, rel. 80.1
- (1 3 0), d = 2.682 Å, rel. 100.0
- (1 0 2), d = 2.658 Å, rel. 54.9
- (3 1 1), d = 2.418 Å, rel. 21.9
- (1 2 2), d = 2.252 Å, rel. 28.1
- (4 2 0), d = 1.896 Å, rel. 30.2
- (2 3 2), d = 1.801 Å, rel. 29.4
- (5 0 1), d = 1.623 Å, rel. 24.7

Atomic structure:
Unit cell a=8.480 b=8.480 c=5.597 alpha=90.00 beta=90.00 gamma=90.00
Space group P4_2/n (No. 86, origin choice 2)
Inequivalent atoms, fractional coordinates:
Tb  0.063  0.673  0.134 x8
Pm  0.250  0.250  0.250 x2
Co  0.016  0.610  0.616 x8

***

Record 9
This entry pairs a crystal structure of Ac2Sm12Dy5 with its computed XRD peak list. Radiation: Cu Kα (weighted mean of Kα1 and Kα2). Structure: a crystal structure in Alexandria, relaxed with PBE.

Main lines, by angle (2θ from 10° to 80°):
- (3 1 -3), d = 2.947 Å, rel. 22.9
- (0 4 0), d = 2.921 Å, rel. 52.3
- (2 0 2), d = 2.881 Å, rel. 34.4
- (4 2 -1), d = 2.863 Å, rel. 100.0
- (2 2 -3), d = 2.791 Å, rel. 56.3
- (1 3 2), d = 2.611 Å, rel. 19.5
- (2 4 2), d = 2.051 Å, rel. 22.0
- (4 6 -1), d = 1.675 Å, rel. 27.6

Atomic structure:
Unit cell a=13.235 b=11.683 c=9.534 alpha=90.00 beta=117.01 gamma=90.00
Space group C2/m (No. 12)
Inequivalent atoms, fractional coordinates:
Ac  0.000  0.235  0.000 x4
Sm  0.077  0.000  0.776 x4
Sm  0.110  0.217  0.425 x8
Sm  0.127  0.500  0.943 x4
Sm  0.190  0.256  0.800 x8
Dy  0.000  0.500  0.500 x2
Dy  0.190  0.500  0.331 x4
Dy  0.193  0.000  0.241 x4

***

Record 10
This entry pairs a crystal structure of Ba3Tl9Cd2 with its computed XRD peak list. Radiation: Cu Kα (weighted mean of Kα1 and Kα2). Structure: a crystal structure in Alexandria, relaxed with PBE.

Main lines, by angle (2θ from 10° to 80°):
- (1 3 0), d = 3.132 Å, rel. 29.6
- (1 2 3), d = 3.075 Å, rel. 100.0
- (1 3 2), d = 2.892 Å, rel. 29.2
- (2 0 0), d = 2.585 Å, rel. 49.7
- (1 4 1), d = 2.527 Å, rel. 34.4
- (0 0 6), d = 2.511 Å, rel. 30.3
- (1 3 4), d = 2.408 Å, rel. 32.5
- (1 4 7), d = 1.648 Å, rel. 35.4

Atomic structure:
Unit cell a=5.170 b=11.809 c=15.064 alpha=90.00 beta=90.00 gamma=90.00
Space group Immm (No. 71)
Inequivalent atoms, fractional coordinates:
Ba  0.000  0.000  0.000 x2
Ba  0.000  0.000  0.309 x4
Tl  0.000  0.279  0.145 x8
Tl  0.000  0.369  0.346 x8
Tl  0.000  0.500  0.000 x2
Cd  0.000  0.189  0.500 x4

***

Record 11
This entry pairs a crystal structure of La4Pr3Th with its computed XRD peak list. Radiation: Cu Kα (weighted mean of Kα1 and Kα2). Structure: a crystal structure in Alexandria, relaxed with PBE.

Main lines, by angle (2θ from 10° to 80°):
- (8 0 0), d = 3.226 Å, rel. 64.2
- (2 0 -2), d = 3.134 Å, rel. 60.1
- (1 1 -1), d = 3.081 Å, rel. 100.0
- (4 0 -2), d = 2.938 Å, rel. 42.1
- (5 1 0), d = 2.918 Å, rel. 77.2
- (3 1 1), d = 2.871 Å, rel. 97.0
- (8 0 1), d = 2.784 Å, rel. 57.7
- (1 1 3), d = 1.799 Å, rel. 51.7

Atomic structure:
Unit cell a=25.891 b=3.538 c=6.353 alpha=90.00 beta=94.67 gamma=90.00
Space group C2/m (No. 12)
Inequivalent atoms, fractional coordinates:
La  0.105  0.000  0.228 x4
La  0.221  0.500  0.240 x4
Pr  0.000  0.000  0.500 x2
Pr  0.143  0.000  0.745 x4
Th  0.000  0.500  0.000 x2

***

Record 12
This entry pairs a crystal structure of SrRuRh2 with its computed XRD peak list. Radiation: Cu Kα (weighted mean of Kα1 and Kα2). Structure: a crystal structure in Alexandria, relaxed with PBE.

Main lines, by angle (2θ from 10° to 80°):
- (0 0 4), d = 2.571 Å, rel. 30.4
- (0 2 0), d = 2.409 Å, rel. 33.6
- (1 1 2), d = 2.231 Å, rel. 100.0
- (0 2 4), d = 1.758 Å, rel. 19.1
- (2 0 0), d = 1.444 Å, rel. 6.6
- (1 1 6), d = 1.410 Å, rel. 12.4
- (1 3 2), d = 1.354 Å, rel. 19.6
- (2 2 0), d = 1.238 Å, rel. 7.8

Atomic structure:
Unit cell a=2.887 b=4.818 c=10.286 alpha=90.00 beta=90.00 gamma=90.00
Space group Imm2 (No. 44)
Inequivalent atoms, fractional coordinates:
Sr  0.000  0.000  0.000 x2
Ru  0.000  0.500  0.782 x2
Rh  0.000  0.000  0.496 x2
Rh  0.000  0.500  0.224 x2